Diffraction record for Tl2CdGeS4. The powder diffraction line list is simulated, not measured: it uses the PBE geometry in Alexandria and Cu Kα (weighted mean of Kα1 and Kα2).
Intensities are scaled so that the largest is 100.

Principal peaks in the range 2θ from 10° to 90°, by intensity:
2θ (°)  Rel. int.
23.4  100
28.3  74
27.6  65
24.6  63
36.7  45
46.5  39
46.3  34
16.6  33
37.3  33
40.9  23

Structural model:
Unit cell a=7.8423 b=9.3980 c=6.4661 alpha=90.00 beta=90.00 gamma=90.00
Sites, in units of the cell vectors:
Tl (0.2280, 0.1626, 0.0000)
Tl (0.2720, 0.8374, 0.5000)
Tl (0.7280, 0.8374, 0.5000)
Tl (0.7720, 0.1626, 0.0000)
Cd (0.0000, 0.3870, 0.4574)
Cd (0.5000, 0.6130, 0.9574)
Ge (0.0000, 0.6426, 0.9480)
Ge (0.5000, 0.3574, 0.4480)
S (0.0000, 0.4175, 0.0575)
S (0.0000, 0.6389, 0.5987)
S (0.2325, 0.7679, 0.0388)
S (0.2675, 0.2321, 0.5388)
S (0.5000, 0.3611, 0.0987)
S (0.5000, 0.5825, 0.5575)
S (0.7325, 0.2321, 0.5388)
S (0.7675, 0.7679, 0.0388)

Diffraction record for Pr7Dy4Tm. The powder diffraction line list is simulated, not measured: it uses the PBE geometry in Alexandria and Cu Kα (weighted mean of Kα1 and Kα2).
Intensities are scaled so that the largest is 100.

Principal peaks in the range 2θ from 10° to 90°, by intensity:
2θ (°)  Rel. int.
30.1  100
34.8  45
50.2  40
30.1  33
59.6  24
35.0  22
59.4  14
59.7  14
62.4  8
50.0  8

Structural model:
Unit cell a=6.2988 b=7.2682 c=9.6207 alpha=100.80 beta=108.80 gamma=90.04
Sites, in units of the cell vectors:
Pr (0.0000, 0.0000, 0.0000)
Pr (0.0017, 0.3358, 0.3342)
Pr (0.4955, 0.9159, 0.6640)
Pr (0.4976, 0.2528, 0.9994)
Pr (0.5024, 0.7472, 0.0006)
Pr (0.5045, 0.0841, 0.3360)
Pr (0.9983, 0.6642, 0.6658)
Dy (0.0007, 0.1690, 0.6674)
Dy (0.4969, 0.5835, 0.3334)
Dy (0.5031, 0.4165, 0.6666)
Dy (0.9993, 0.8310, 0.3326)
Tm (0.0000, 0.5000, 0.0000)

Diffraction record for Tb2SmRh2. The powder diffraction line list is simulated, not measured: it uses the PBE geometry in Alexandria and Cu Kα (weighted mean of Kα1 and Kα2).
Intensities are scaled so that the largest is 100.

Principal peaks in the range 2θ from 10° to 90°, by intensity:
2θ (°)  Rel. int.
31.8  100
38.6  67
38.4  36
33.8  25
27.8  23
47.5  20
62.7  17
52.1  17
55.6  15
65.4  13

Structural model:
Unit cell a=13.3805 b=13.3805 c=4.6881 alpha=90.00 beta=90.00 gamma=163.55
Sites, in units of the cell vectors:
Tb (0.0514, 0.9486, 0.7500)
Tb (0.2654, 0.7346, 0.2500)
Tb (0.7346, 0.2654, 0.7500)
Tb (0.9486, 0.0514, 0.2500)
Sm (0.3637, 0.6363, 0.7500)
Sm (0.6363, 0.3637, 0.2500)
Rh (0.1610, 0.8390, 0.7500)
Rh (0.4674, 0.5326, 0.7500)
Rh (0.5326, 0.4674, 0.2500)
Rh (0.8390, 0.1610, 0.2500)

Repeat the second record exactly.
Diffraction record for Pr7Dy4Tm. The powder diffraction line list is simulated, not measured: it uses the PBE geometry in Alexandria and Cu Kα (weighted mean of Kα1 and Kα2).
Intensities are scaled so that the largest is 100.

Principal peaks in the range 2θ from 10° to 90°, by intensity:
2θ (°)  Rel. int.
30.1  100
34.8  45
50.2  40
30.1  33
59.6  24
35.0  22
59.4  14
59.7  14
62.4  8
50.0  8

Structural model:
Unit cell a=6.2988 b=7.2682 c=9.6207 alpha=100.80 beta=108.80 gamma=90.04
Sites, in units of the cell vectors:
Pr (0.0000, 0.0000, 0.0000)
Pr (0.0017, 0.3358, 0.3342)
Pr (0.4955, 0.9159, 0.6640)
Pr (0.4976, 0.2528, 0.9994)
Pr (0.5024, 0.7472, 0.0006)
Pr (0.5045, 0.0841, 0.3360)
Pr (0.9983, 0.6642, 0.6658)
Dy (0.0007, 0.1690, 0.6674)
Dy (0.4969, 0.5835, 0.3334)
Dy (0.5031, 0.4165, 0.6666)
Dy (0.9993, 0.8310, 0.3326)
Tm (0.0000, 0.5000, 0.0000)